This entry pairs a crystal structure of SrLaMn2O5 with its simulated powder diffractogram. Radiation: Cu Kα. Structure: a GGA+U-relaxed structure.
No peak broadening, texture or thermal motion is included.

Cell and atoms:
```
SrLaMn2O5
1.0
5.569 0.000 0.000
-0.026 5.739 0.000
-2.766 -2.866 8.046
Sr La Mn O
2 2 4 10
Direct
0.000 0.000 0.000
0.276 0.276 0.553
0.507 0.460 0.996
0.788 0.742 0.558
0.168 0.680 0.277
0.383 0.870 0.777
0.680 0.067 0.277
0.883 0.372 0.777
0.046 0.015 0.277
0.120 0.125 0.760
0.159 0.638 0.806
0.211 0.694 0.514
0.507 0.075 0.040
0.553 0.713 0.277
0.618 0.091 0.747
0.648 0.625 0.794
0.743 0.310 0.513
0.976 0.455 0.039
```

Top 12 peaks for 2θ from 10° to 80°, by angle:
d (Å)	I (rel.)
8.046	13
4.013	12
2.870	34
2.835	100
2.785	35
2.227	13
2.011	15
2.003	16
1.994	16
1.648	18
1.619	10
1.615	10